The following is a simulated powder diffraction line list of AcDy5Ho3. It was derived from a structure optimized by DFT (GGA-PBE), using Cu Ka.
Kinematic intensities with the Lorentz-polarization factor, no thermal factor.

Main lines, by intensity (2θ = 15–90°):
d = 2.830 Å, 31.6 deg, I 100
d = 2.854 Å, 31.3 deg, I 92
d = 2.842 Å, 31.5 deg, I 50
d = 2.865 Å, 31.2 deg, I 45
d = 1.638 Å, 56.2 deg, I 36
d = 2.009 Å, 45.1 deg, I 33

Structure:
a = 9.0361 Å, b = 9.0361 Å, c = 9.0165 Å
α = 114.01°, β = 114.01°, γ = 65.58°
Positions (direct):
Ac (0.0722, 0.9278, 0.7500)
Ac (0.9278, 0.0722, 0.2500)
Dy (0.0964, 0.2615, 0.0999)
Dy (0.2471, 0.4276, 0.9255)
Dy (0.2615, 0.0964, 0.5999)
Dy (0.4196, 0.5804, 0.7500)
Dy (0.4276, 0.2471, 0.4255)
Dy (0.5724, 0.7529, 0.5745)
Dy (0.5804, 0.4196, 0.2500)
Dy (0.7385, 0.9036, 0.4001)
Dy (0.7529, 0.5724, 0.0745)
Dy (0.9036, 0.7385, 0.9001)
Ho (0.0000, 0.5000, 0.5000)
Ho (0.1747, 0.6560, 0.3329)
Ho (0.3440, 0.8253, 0.1671)
Ho (0.5000, 0.0000, 0.0000)
Ho (0.6560, 0.1747, 0.8329)
Ho (0.8253, 0.3440, 0.6671)